Record 1
# HoMgAgTeS2
Calculated X-ray diffraction stick pattern, Cu Kα, 1.54184 Å. Input: a DFT-relaxed cell (GGA-PBE, OQMD).
Intensities are scaled so that the largest is 100.

Most intense lines, 10° ≤ 2θ ≤ 90°, in order of falling intensity:
2θ (°)  Rel. int.  (hkl)
34.7  100  1 3 2
13.0  74  0 2 0
44.0  27  1 5 2
32.8  25  0 0 4
29.1  22  1 1 2
35.4  14  0 2 4
59.8  14  1 3 6
47.1  13  2 0 0
27.8  13  0 2 3
25.3  12  1 1 1

Crystal structure
abc: 3.861 13.587 10.924
angles: 90.00 90.00 90.00
Space group Cmcm (No. 63)
Symmetry-distinct sites (fractional):
1 Ho 0.000 0.000 0.000 (multiplicity 4)
2 Mg 0.000 0.193 0.250 (multiplicity 4)
3 Ag 0.000 0.493 0.750 (multiplicity 4)
4 Te 0.000 0.138 0.750 (multiplicity 4)
5 S 0.000 0.371 0.578 (multiplicity 8)



Record 2
# HoAgNO
Calculated X-ray diffraction stick pattern, Cu Kα, 1.54184 Å. Input: a DFT-relaxed cell (GGA-PBE, OQMD).
Intensities are scaled so that the largest is 100.

Most intense lines, 10° ≤ 2θ ≤ 90°, in order of falling intensity:
2θ (°)  Rel. int.  (hkl)
32.7  100  2 1 1
36.6  59  0 2 0
55.7  31  4 2 0
40.4  20  4 0 0
52.7  20  0 2 2
68.5  16  4 2 2
63.4  15  2 3 1
63.5  15  2 1 3
68.6  10  6 1 1
87.0  7  2 3 3

Crystal structure
abc: 8.926 4.914 4.903
angles: 90.00 90.00 90.00
Space group Pbcm (No. 57)
Symmetry-distinct sites (fractional):
1 Ho 0.140 0.000 0.250 (multiplicity 4)
2 Ag 0.371 0.001 0.750 (multiplicity 4)
3 N 0.124 0.000 0.750 (multiplicity 4)
4 O 0.383 0.501 0.750 (multiplicity 4)



Record 3
# HoAgNO
Calculated X-ray diffraction stick pattern, Cu Kα, 1.54184 Å. Input: a DFT-relaxed cell (GGA-PBE, OQMD).
Intensities are scaled so that the largest is 100.

Most intense lines, 10° ≤ 2θ ≤ 90°, in order of falling intensity:
2θ (°)  Rel. int.  (hkl)
32.8  100  1 0 1
37.1  56  1 1 0
55.6  33  1 1 2
64.1  30  2 1 1
39.9  23  0 0 2
53.4  19  2 0 0
68.7  17  2 0 2
68.0  13  1 0 3
88.1  7  3 0 1
78.9  6  2 2 0

Crystal structure
abc: 3.430 3.430 4.514
angles: 90.00 90.00 90.00
Space group P4/mmm (No. 123)
Symmetry-distinct sites (fractional):
1 Ho 0.000 0.000 0.000 (multiplicity 1)
2 Ag 0.500 0.500 0.500 (multiplicity 1)
3 N 0.500 0.500 0.000 (multiplicity 1)
4 O 0.000 0.000 0.500 (multiplicity 1)



Record 4
# HoAgSeO
Calculated X-ray diffraction stick pattern, Cu Kα, 1.54184 Å. Input: a DFT-relaxed cell (GGA-PBE, OQMD).
Intensities are scaled so that the largest is 100.

Most intense lines, 10° ≤ 2θ ≤ 90°, in order of falling intensity:
2θ (°)  Rel. int.  (hkl)
32.4  100  1 1 -3
27.0  69  1 1 -2
27.7  68  1 1 2
33.2  59  1 1 3
45.0  56  2 2 0
22.0  56  1 1 0
40.5  36  0 0 5
45.5  27  0 2 4
32.1  21  2 0 -1
23.7  20  1 1 1

Crystal structure
abc: 5.704 5.704 11.144
angles: 90.00 92.13 90.00
Space group P2_1 (No. 4)
Symmetry-distinct sites (fractional):
1 Ho 0.005 0.000 0.092 (multiplicity 2)
2 Ho 0.494 0.000 0.907 (multiplicity 2)
3 Ag 0.189 0.275 0.496 (multiplicity 2)
4 Ag 0.499 0.020 0.288 (multiplicity 2)
5 Se 0.192 0.323 0.275 (multiplicity 2)
6 Se 0.196 0.218 0.717 (multiplicity 2)
7 O 0.250 0.749 0.000 (multiplicity 2)
8 O 0.252 0.248 0.999 (multiplicity 2)



Record 5
# HoAgPb
Calculated X-ray diffraction stick pattern, Cu Kα, 1.54184 Å. Input: a DFT-relaxed cell (GGA-PBE, OQMD).
Intensities are scaled so that the largest is 100.

Most intense lines, 10° ≤ 2θ ≤ 90°, in order of falling intensity:
2θ (°)  Rel. int.  (hkl)
32.4  100  1 0 2
37.5  88  1 1 0
50.3  29  2 0 2
64.4  28  2 1 2
24.6  26  1 0 1
42.6  25  1 0 3
63.5  17  1 1 4
67.6  16  3 0 0
88.9  12  3 1 2
71.1  11  2 1 3

Crystal structure
abc: 4.8006 4.8006 7.4055
angles: 90.00 90.00 120.00
Space group P6_3mc (No. 186)
Symmetry-distinct sites (fractional):
1 Ho 0.0000 0.0000 0.0000 (multiplicity 2)
2 Ag 0.3333 0.6667 0.3114 (multiplicity 2)
3 Pb 0.3333 0.6667 0.7194 (multiplicity 2)



Record 6
# HoAgTe2PbSe
Calculated X-ray diffraction stick pattern, Cu Kα, 1.54184 Å. Input: a DFT-relaxed cell (GGA-PBE, OQMD).
Intensities are scaled so that the largest is 100.

Most intense lines, 10° ≤ 2θ ≤ 90°, in order of falling intensity:
2θ (°)  Rel. int.  (hkl)
32.4  100  1 3 2
28.9  95  1 3 1
33.8  48  0 0 4
33.4  48  1 1 3
40.5  43  0 6 2
42.1  43  2 0 0
27.6  40  1 3 0
40.8  35  1 5 2
55.0  29  2 0 4
59.8  27  2 6 2

Crystal structure
abc: 4.293 14.731 10.623
angles: 90.00 90.00 90.00
Space group Cmcm (No. 63)
Symmetry-distinct sites (fractional):
1 Ho 0.000 0.000 0.000 (multiplicity 4)
2 Ag 0.000 0.475 0.250 (multiplicity 4)
3 Te 0.000 0.352 0.051 (multiplicity 8)
4 Pb 0.000 0.254 0.750 (multiplicity 4)
5 Se 0.000 0.083 0.250 (multiplicity 4)